The following is a computed X-ray powder pattern of NaNiH4SO6F. It was derived from a cell relaxed with GGA+U, using Cu Kα X-rays.
Peak positions follow from Bragg's law for the DFT cell and can differ from measured ones.

Main lines, by intensity (2θ = 15–90°):
hkl 1 2 -1, 29.7 deg, intensity 100; hkl 1 0 0, 16.8 deg, intensity 65; hkl 1 0 1, 25.5 deg, intensity 48; hkl 0 2 1, 27.9 deg, intensity 43; hkl 1 1 1, 28.3 deg, intensity 25; hkl 1 0 -2, 25.6 deg, intensity 21; hkl 2 1 -2, 36.3 deg, intensity 20; hkl 2 0 -2, 34.1 deg, intensity 20; hkl 1 0 2, 37.5 deg, intensity 19; hkl 0 4 0, 49.7 deg, intensity 16

a b c (Å): 5.753 7.332 7.163
angles (deg): 90.00 113.31 90.00
Space group P2_1/m (No. 11)
Inequivalent atoms, fractional coordinates:
Na 0.120 0.250 0.192 x2
Ni 0.500 0.000 0.000 x2
H 0.079 0.073 0.695 x4
H 0.205 0.592 0.625 x4
S 0.350 0.750 0.306 x2
O 0.161 0.750 0.406 x2
O 0.173 0.543 0.741 x4
O 0.295 0.584 0.173 x4
O 0.391 0.250 0.540 x2
F 0.371 0.250 0.019 x2